[1]
Structure and computed X-ray diffraction stick pattern of Ba2Cu3O6 (a GGA-PBE-relaxed structure; Cu Kα (λ = 1.5418 Å)).

Structure:
```
22
Lattice="0.0000 5.6671 7.3813 4.1716 0.0000 7.3813 4.1716 5.6671 0.0000" Properties=species:S:1:pos:R:3 pbc="T T T"
Ba 4.1716 2.6386 7.3813
Ba 2.0858 2.8336 3.6907
Ba 6.2574 8.5007 11.0720
Ba 4.1716 8.6956 7.3813
Cu 7.0741 5.6671 5.1963
Cu 7.0741 5.6671 9.5664
Cu 5.7763 5.6671 7.3813
Cu 2.5669 5.6671 7.3813
Cu 1.2691 5.6671 5.1963
Cu 1.2691 5.6671 9.5664
O 4.1716 4.3544 2.7094
O 5.9738 4.3825 6.0408
O 5.9738 4.3825 8.7219
O 4.1716 6.9799 2.7094
O 5.9738 6.9517 6.0408
O 5.9738 6.9517 8.7219
O 2.3695 4.3825 6.0408
O 2.3695 4.3825 8.7219
O 4.1716 4.3544 12.0533
O 2.3695 6.9517 6.0408
O 2.3695 6.9517 8.7219
O 4.1716 6.9799 12.0533
```

Top 8 peaks for 15 to 90 degrees two-theta, in order of falling intensity:
| 2θ/deg | I (rel.) |
| --- | --- |
| 29.21 | 100 |
| 28.87 | 54 |
| 45.71 | 35 |
| 40.37 | 29 |
| 31.57 | 28 |
| 22.39 | 25 |
| 24.51 | 25 |
| 60.56 | 18 |

[2]
Structure and computed X-ray diffraction stick pattern of Ba2Cu3O6 (a GGA-PBE-relaxed structure; Cu Kα (λ = 1.5418 Å)).

Structure:
```
11
Lattice="2.7007 -3.5925 0.0000 2.7007 3.5925 0.0000 -1.0977 0.0000 11.5866" Properties=species:S:1:pos:R:3 pbc="T T T"
Ba 0.0192 0.0000 2.8881
Ba 4.2845 0.0000 8.6985
Cu 2.7007 1.6937 0.0000
Cu 2.1518 -1.6465 5.7933
Cu 2.7007 -1.7295 0.0000
O 1.3526 1.7822 1.2687
O 2.9511 1.7822 10.3180
O 1.3577 -1.8154 1.2312
O 1.3261 -1.7834 4.2762
O 2.9775 -1.7834 7.3105
O 2.9459 -1.8154 10.3555
```

Top 8 peaks for 15 to 90 degrees two-theta, in order of falling intensity:
| 2θ/deg | I (rel.) |
| --- | --- |
| 29.25 | 100 |
| 20.63 | 61 |
| 24.82 | 54 |
| 43.72 | 45 |
| 26.72 | 40 |
| 30.87 | 26 |
| 46.08 | 19 |
| 21.47 | 17 |

What did the first record say?
Structure and computed X-ray diffraction stick pattern of Ba2Cu3O6 (a GGA-PBE-relaxed structure; Cu Kα (λ = 1.5418 Å)).

Structure:
```
22
Lattice="0.0000 5.6671 7.3813 4.1716 0.0000 7.3813 4.1716 5.6671 0.0000" Properties=species:S:1:pos:R:3 pbc="T T T"
Ba 4.1716 2.6386 7.3813
Ba 2.0858 2.8336 3.6907
Ba 6.2574 8.5007 11.0720
Ba 4.1716 8.6956 7.3813
Cu 7.0741 5.6671 5.1963
Cu 7.0741 5.6671 9.5664
Cu 5.7763 5.6671 7.3813
Cu 2.5669 5.6671 7.3813
Cu 1.2691 5.6671 5.1963
Cu 1.2691 5.6671 9.5664
O 4.1716 4.3544 2.7094
O 5.9738 4.3825 6.0408
O 5.9738 4.3825 8.7219
O 4.1716 6.9799 2.7094
O 5.9738 6.9517 6.0408
O 5.9738 6.9517 8.7219
O 2.3695 4.3825 6.0408
O 2.3695 4.3825 8.7219
O 4.1716 4.3544 12.0533
O 2.3695 6.9517 6.0408
O 2.3695 6.9517 8.7219
O 4.1716 6.9799 12.0533
```

Top 8 peaks for 15 to 90 degrees two-theta, in order of falling intensity:
| 2θ/deg | I (rel.) |
| --- | --- |
| 29.21 | 100 |
| 28.87 | 54 |
| 45.71 | 35 |
| 40.37 | 29 |
| 31.57 | 28 |
| 22.39 | 25 |
| 24.51 | 25 |
| 60.56 | 18 |